(1)
Calculated X-ray powder pattern of Li3Np3ZnSe8 for copper Kα, from DFT lattice parameters and positions (PBE).
No peak broadening, texture or thermal motion is included.

Crystal structure
a b c (Å): 7.960 7.960 7.960
angles (deg): 60.72 60.72 60.72
Element x y z (fractional)
1 Li 0.000 0.500 0.500
2 Li 0.500 0.000 0.500
3 Li 0.500 0.500 0.000
4 Np 0.000 0.000 0.500
5 Np 0.000 0.500 0.000
6 Np 0.500 0.000 0.000
7 Zn 0.500 0.500 0.500
8 Se 0.253 0.253 0.253
9 Se 0.258 0.258 0.742
10 Se 0.258 0.742 0.258
11 Se 0.258 0.742 0.742
12 Se 0.742 0.258 0.258
13 Se 0.742 0.258 0.742
14 Se 0.742 0.742 0.258
15 Se 0.747 0.747 0.747

Most intense lines, 10 to 90 degrees two-theta, by intensity:
| 2θ (°) | Rel. int. |
| --- | --- |
| 31.62 | 100 |
| 13.70 | 68 |
| 25.98 | 45 |
| 45.07 | 38 |
| 45.59 | 36 |
| 34.61 | 21 |
| 47.32 | 20 |
| 56.09 | 20 |
| 74.68 | 17 |
| 75.45 | 16 |
| 41.65 | 15 |
| 83.55 | 13 |

(2)
Calculated X-ray powder pattern of Ho5Si2Pb2 for copper Kα, from DFT lattice parameters and positions (PBE).
No peak broadening, texture or thermal motion is included.

Crystal structure
a b c (Å): 8.616 8.616 7.791
angles (deg): 90.00 90.00 54.18
Element x y z (fractional)
1 Ho 0.000 0.000 0.000
2 Ho 0.049 0.703 0.672
3 Ho 0.203 0.549 0.172
4 Ho 0.297 0.951 0.672
5 Ho 0.451 0.797 0.172
6 Ho 0.500 0.500 0.500
7 Ho 0.549 0.203 0.828
8 Ho 0.703 0.049 0.328
9 Ho 0.797 0.451 0.828
10 Ho 0.951 0.297 0.328
11 Si 0.127 0.873 0.372
12 Si 0.373 0.627 0.872
13 Si 0.627 0.373 0.128
14 Si 0.873 0.127 0.628
15 Pb 0.214 0.214 0.000
16 Pb 0.286 0.286 0.500
17 Pb 0.714 0.714 0.500
18 Pb 0.786 0.786 0.000

Most intense lines, 10 to 90 degrees two-theta, by intensity:
| 2θ (°) | Rel. int. |
| --- | --- |
| 33.40 | 100 |
| 32.39 | 88 |
| 32.65 | 88 |
| 32.77 | 85 |
| 34.67 | 64 |
| 25.43 | 62 |
| 36.72 | 53 |
| 58.42 | 52 |
| 36.93 | 51 |
| 31.03 | 47 |
| 26.19 | 45 |
| 52.43 | 33 |